# Li2Zn2GaPd2Pt
Simulated XRD peak list, λ = 1.5418 Å (Cu Kα). Input: a DFT-relaxed cell (GGA-PBE, OQMD).
Lines closer than 0.1° are merged.

Most intense lines, 10 to 90 degrees two-theta, low angle first:
d = 7.136 Å, I 10, hkl 0 0 1
d = 3.487 Å, I 50, hkl 1 0 1
d = 2.215 Å, I 100, hkl 1 1 2
d = 2.044 Å, I 11, hkl 1 0 3
d = 1.998 Å, I 37, hkl 2 0 0
d = 1.784 Å, I 14, hkl 0 0 4
d = 1.734 Å, I 14, hkl 2 1 1
d = 1.413 Å, I 12, hkl 2 2 0
d = 1.331 Å, I 18, hkl 2 0 4
d = 1.191 Å, I 26, hkl 3 1 2
d = 1.108 Å, I 11, hkl 2 2 4
d = 1.096 Å, I 9, hkl 1 1 6

Structure:
```
data_Li2Zn2GaPd2Pt
_chemical_formula_sum 'Li2 Zn2 Ga1 Pd2 Pt1'
_cell_length_a 3.996
_cell_length_b 3.996
_cell_length_c 7.136
_cell_angle_alpha 90.00
_cell_angle_beta 90.00
_cell_angle_gamma 90.00
_symmetry_space_group_name_H-M 'P -4 m 2'
_symmetry_Int_Tables_number 115
loop_
_symmetry_equiv_pos_as_xyz
'x,y,z'
'y,-x,-z'
'-x,-y,z'
'-y,x,-z'
'-x,y,z'
'-y,-x,-z'
'x,-y,z'
'y,x,-z'
loop_
_atom_site_label
_atom_site_type_symbol
_atom_site_fract_x
_atom_site_fract_y
_atom_site_fract_z
Li1 Li 0.000 0.500 0.244
Zn1 Zn 0.000 0.000 0.000
Zn2 Zn 0.500 0.500 0.500
Ga1 Ga 0.000 0.000 0.500
Pd1 Pd 0.000 0.500 0.733
Pt1 Pt 0.500 0.500 0.000
```